Simulated PXRD pattern of NaLi2NiF8 for Cu Kα, 1.54184 Å, from a crystal structure in Alexandria, relaxed with PBE+U.
Neutral-atom scattering factors, no anomalous dispersion.

Top 12 peaks for 10 to 90 degrees two-theta, in order of rising 2θ:
two_theta  I (rel.)  h k l
13.39  100  0 0 1
18.80  47  0 1 0
20.52  64  1 0 0
23.15  74  0 1 1
26.96  37  0 0 2
27.65  30  1 -1 0
28.27  62  1 1 0
34.12  32  1 0 2
39.01  86  1 -1 2
44.09  34  1 2 0
53.89  40  2 -1 2
54.61  27  2 1 2

Structural model:
```
data_NaLi2NiF8
_chemical_formula_sum 'Na1 Li2 Ni1 F8'
_cell_length_a 4.330
_cell_length_b 4.722
_cell_length_c 6.613
_cell_angle_alpha 90.01
_cell_angle_beta 90.06
_cell_angle_gamma 91.25
_space_group_name_H-M_alt 'P -1'
_space_group_IT_number 2
loop_
_space_group_symop_operation_xyz
'x,y,z'
'-x,-y,-z'
loop_
_atom_site_label
_atom_site_type_symbol
_atom_site_fract_x
_atom_site_fract_y
_atom_site_fract_z
Na1 Na 0.000 0.000 0.000
Li1 Li 0.500 0.500 0.279
Ni1 Ni 0.000 0.000 0.500
F1 F 0.223 0.845 0.300
F2 F 0.223 0.845 0.700
F3 F 0.249 0.310 0.500
F4 F 0.262 0.471 0.000
```